Diffraction record for NdTiFe11C. The XRD peak list is simulated, not measured: it uses DFT lattice parameters and positions (PBE) and λ = 1.5418 Å (Cu Kα).
Lines closer than 0.1° are merged.

Atomic structure:
Lattice parameters (Å, degrees): 4.955 8.569 8.519 90.00 90.00 90.00
Space group Imm2 (No. 44)
Unique sites:
Nd (0.000, 0.000, 0.000) (multiplicity 2)
Ti (0.000, 0.000, 0.627) (multiplicity 2)
Fe (0.000, 0.000, 0.352) (multiplicity 2)
Fe (0.000, 0.279, 0.491) (multiplicity 4)
Fe (0.000, 0.360, 0.993) (multiplicity 4)
Fe (0.000, 0.500, 0.270) (multiplicity 2)
Fe (0.000, 0.500, 0.718) (multiplicity 2)
Fe (0.249, 0.248, 0.244) (multiplicity 8)
C (0.000, 0.500, 0.495) (multiplicity 2)

Peak list (8 most intense, 15° ≤ 2θ ≤ 90°, sorted by position)
hkl 1 2 1, 3.025 Å, rel. 35
hkl 2 0 0, 2.476 Å, rel. 36
hkl 1 0 3, 2.464 Å, rel. 18
hkl 0 4 0, 2.143 Å, rel. 100
hkl 1 3 2, 2.138 Å, rel. 88
hkl 0 0 4, 2.130 Å, rel. 29
hkl 2 2 2, 1.915 Å, rel. 35
hkl 3 3 2, 1.355 Å, rel. 23